# VPHO5
Computed powder XRD pattern, Cu Kα (λ = 1.5418 Å). Input: DFT lattice parameters and positions (GGA+U).
Intensities are scaled so that the largest is 100.

Cell and atoms:
```
data_VPHO5
_chemical_formula_sum 'V2 P2 H2 O10'
_symmetry_space_group_name_H-M 'P -1'
_symmetry_Int_Tables_number 2
_cell_length_a 5.230
_cell_length_b 5.251
_cell_length_c 7.355
_cell_angle_alpha 105.94
_cell_angle_beta 108.45
_cell_angle_gamma 99.40
loop_
_symmetry_equiv_pos_as_xyz
'x,y,z'
'-x,-y,-z'
loop_
_atom_site_label
_atom_site_type_symbol
_atom_site_fract_x
_atom_site_fract_y
_atom_site_fract_z
V1 V 0.000 0.000 0.000
V2 V 0.000 0.000 0.500
P1 P 0.328 0.666 0.267
H1 H 0.335 0.982 0.819
O1 O 0.128 0.699 0.383
O2 O 0.129 0.950 0.770
O3 O 0.250 0.361 0.129
O4 O 0.305 0.852 0.133
O5 O 0.367 0.254 0.580
```

Main lines, by angle (10° ≤ 2θ ≤ 90°):
- 2θ 18.3, intensity 65
- 2θ 18.4, intensity 52
- 2θ 18.6, intensity 83
- 2θ 22.3, intensity 22
- 2θ 25.8, intensity 30
- 2θ 26.4, intensity 30
- 2θ 26.5, intensity 88
- 2θ 27.0, intensity 100
- 2θ 29.6, intensity 67
- 2θ 34.9, intensity 22
- 2θ 36.1, intensity 24
- 2θ 42.2, intensity 19